No. 1
TbCuTe2: simulated powder XRD pattern (CuKα), based on a structure optimized by DFT (PBE).
Lines closer than 0.1° are merged.

Crystal structure
```
TbCuTe2
1.0
4.2482 0.0000 0.0000
-2.1241 3.6791 0.0000
0.0000 0.0000 6.7220
Tb Cu Te
1 1 2
Direct
0.0000 0.0000 0.0000
0.0000 0.0000 0.5000
0.3333 0.6667 0.2787
0.6667 0.3333 0.7213
```

Principal peaks in the range 2θ = 10–90°, in order of rising 2θ:
- 2θ = 24.19°, I 12
- 2θ = 27.64°, I 94
- 2θ = 36.20°, I 100
- 2θ = 42.56°, I 58
- 2θ = 47.51°, I 13
- 2θ = 51.51°, I 17
- 2θ = 57.08°, I 26
- 2θ = 68.96°, I 14
- 2θ = 71.60°, I 18
- 2θ = 73.74°, I 24

=====

No. 2
Ho2Te4O11: simulated powder XRD pattern (CuKα), based on a structure optimized by DFT (PBE).
Lines closer than 0.1° are merged.

Crystal structure
```
Ho2Te4O11
1.0
6.2318 -2.5800 0.0000
6.2318 2.5800 0.0000
-4.2966 0.0000 15.7056
Ho Te O
4 8 22
Direct
0.1309 0.6304 0.9630
0.3696 0.8691 0.5370
0.6304 0.1309 0.4630
0.8691 0.3696 0.0370
0.0896 0.6541 0.6250
0.0992 0.6573 0.3019
0.3427 0.9008 0.1981
0.3459 0.9104 0.8750
0.6541 0.0896 0.1250
0.6573 0.0992 0.8019
0.9008 0.3427 0.6981
0.9104 0.3459 0.3750
0.0525 0.8991 0.4044
0.1009 0.9475 0.0956
0.1621 0.2537 0.9481
0.1853 0.3091 0.6274
0.2537 0.1621 0.4481
0.2931 0.4091 0.8333
0.3091 0.1853 0.1274
0.3250 0.5369 0.5446
0.3542 0.6458 0.2500
0.4091 0.2931 0.3333
0.4631 0.6750 0.9554
0.5369 0.3250 0.0446
0.5909 0.7069 0.6667
0.6458 0.3542 0.7500
0.6750 0.4631 0.4554
0.6909 0.8147 0.8726
0.7069 0.5909 0.1667
0.7463 0.8379 0.5519
0.8147 0.6909 0.3726
0.8379 0.7463 0.0519
0.8991 0.0525 0.9044
0.9475 0.1009 0.5956
```

Principal peaks in the range 2θ = 10–90°, in order of rising 2θ:
- 2θ = 26.65°, I 100
- 2θ = 29.77°, I 99
- 2θ = 33.54°, I 21
- 2θ = 34.77°, I 18
- 2θ = 41.08°, I 15
- 2θ = 46.38°, I 22
- 2θ = 48.96°, I 18
- 2θ = 49.09°, I 18
- 2θ = 54.08°, I 14
- 2θ = 54.64°, I 14

=====

No. 3
TaN: simulated powder XRD pattern (CuKα), based on a structure optimized by DFT (PBE).
Lines closer than 0.1° are merged.

Crystal structure
```
TaN
1.0
5.2631 0.0000 0.0000
-2.6316 4.5580 0.0000
0.0000 0.0000 2.9313
Ta N
3 3
Direct
0.0000 0.0000 0.0000
0.3333 0.6667 0.5000
0.6667 0.3333 0.5000
0.0000 0.5000 0.0000
0.5000 0.0000 0.0000
0.5000 0.5000 0.0000
```

Principal peaks in the range 2θ = 10–90°, in order of rising 2θ:
- 2θ = 34.07°, I 100
- 2θ = 36.44°, I 72
- 2θ = 46.37°, I 11
- 2θ = 50.74°, I 37
- 2θ = 60.98°, I 19
- 2θ = 62.54°, I 31
- 2θ = 63.47°, I 7
- 2θ = 71.73°, I 14
- 2θ = 74.04°, I 22
- 2θ = 83.23°, I 14

=====

No. 4
Sm2Si3Pt: simulated powder XRD pattern (CuKα), based on a structure optimized by DFT (PBE).
Lines closer than 0.1° are merged.

Crystal structure
```
Sm2Si3Pt
1.0
-2.0288 2.0954 7.1746
2.0288 -2.0954 7.1746
2.0288 2.0954 -7.1746
Sm Si Pt
2 3 1
Direct
0.0000 0.0000 0.0000
0.7590 0.2590 0.5000
0.3351 0.8351 0.5000
0.4246 0.4246 0.0000
0.5891 0.5891 0.0000
0.1701 0.6701 0.5000
```

Principal peaks in the range 2θ = 10–90°, in order of rising 2θ:
- 2θ = 12.34°, I 26
- 2θ = 22.10°, I 23
- 2θ = 28.85°, I 45
- 2θ = 33.17°, I 100
- 2θ = 38.00°, I 35
- 2θ = 38.42°, I 18
- 2θ = 43.17°, I 19
- 2θ = 44.67°, I 17
- 2θ = 52.76°, I 17
- 2θ = 60.05°, I 18

=====

No. 5
La2InAg: simulated powder XRD pattern (CuKα), based on a structure optimized by DFT (PBE).
Lines closer than 0.1° are merged.

Crystal structure
```
La2InAg
1.0
0.0000 3.9124 3.9124
3.9124 0.0000 3.9124
3.9124 3.9124 0.0000
La In Ag
2 1 1
Direct
0.2500 0.2500 0.2500
0.7500 0.7500 0.7500
0.0000 0.0000 0.0000
0.5000 0.5000 0.5000
```

Principal peaks in the range 2θ = 10–90°, in order of rising 2θ:
- 2θ = 22.73°, I 1
- 2θ = 32.36°, I 100
- 2θ = 46.42°, I 18
- 2θ = 57.72°, I 37
- 2θ = 67.74°, I 11
- 2θ = 77.09°, I 16
- 2θ = 86.09°, I 4

=====

No. 6
Re3Se4Br3: simulated powder XRD pattern (CuKα), based on a structure optimized by DFT (PBE).
Lines closer than 0.1° are merged.

Crystal structure
```
Re3Se4Br3
1.0
9.2946 0.0000 0.0000
1.2168 9.3542 0.0000
1.4755 1.2891 13.0807
Re Se Br
12 16 12
Direct
0.0100 0.0144 0.3567
0.1120 0.8105 0.4985
0.1675 0.0824 0.4923
0.3090 0.5257 0.0539
0.4431 0.4231 0.8813
0.4788 0.6858 0.9333
0.5212 0.3142 0.0667
0.5569 0.5769 0.1187
0.6910 0.4743 0.9461
0.8325 0.9176 0.5077
0.8880 0.1895 0.5015
0.9900 0.9856 0.6433
0.0450 0.2479 0.6285
0.0652 0.2718 0.3540
0.2369 0.6286 0.8793
0.2581 0.8867 0.6297
0.2748 0.2805 0.0094
0.2829 0.9165 0.3584
0.3581 0.7789 0.0983
0.3981 0.4162 0.2291
0.6019 0.5838 0.7709
0.6419 0.2211 0.9017
0.7171 0.0835 0.6416
0.7252 0.7195 0.9906
0.7419 0.1133 0.3703
0.7631 0.3714 0.1207
0.9348 0.7282 0.6460
0.9550 0.7521 0.3715
0.0231 0.0305 0.1628
0.0487 0.5760 0.1355
0.2616 0.5669 0.4961
0.3597 0.3206 0.7336
0.3995 0.2032 0.4847
0.4492 0.9407 0.8458
0.5508 0.0593 0.1542
0.6005 0.7968 0.5153
0.6403 0.6794 0.2664
0.7384 0.4331 0.5039
0.9513 0.4240 0.8645
0.9769 0.9695 0.8372
```

Principal peaks in the range 2θ = 10–90°, in order of rising 2θ:
- 2θ = 11.11°, I 100
- 2θ = 11.22°, I 94
- 2θ = 12.20°, I 78
- 2θ = 12.32°, I 70
- 2θ = 12.72°, I 51
- 2θ = 13.54°, I 42
- 2θ = 14.33°, I 27
- 2θ = 44.98°, I 15
- 2θ = 46.01°, I 23
- 2θ = 46.39°, I 15